# 1
Calculated X-ray diffraction stick pattern
Compound: Li3TlAg5
Radiation: λ = 1.5418 Å (Cu Kα)
Structure: a DFT-relaxed cell (PBE, Alexandria)

Main lines, by angle (10 to 80 degrees two-theta):
(1 0 0), 12.74°, rel. 9; (1 1 0), 22.17°, rel. 36; (1 1 1), 27.16°, rel. 55; (1 1 2), 38.68°, rel. 100; (3 0 0), 38.90°, rel. 81; (2 2 1), 48.08°, rel. 10; (2 2 2), 56.01°, rel. 32; (4 1 2), 70.29°, rel. 32; (3 3 0), 70.44°, rel. 13; (3 0 4), 78.66°, rel. 20

Cell and atoms:
```
data_Li3TlAg5
_space_group_name_H-M_alt 'P 63/m c m'
_space_group_IT_number 193
_space_group_name_Hall '-P 6c 2'
_cell_length_a 8.0208
_cell_length_b 8.0208
_cell_length_c 5.7185
_cell_angle_alpha 90.00
_cell_angle_beta 90.00
_cell_angle_gamma 120.00
loop_
_atom_site_label
_atom_site_fract_x
_atom_site_fract_y
_atom_site_fract_z
Li1 0.0000 0.3331 0.2500
Tl1 0.0000 0.0000 0.0000
Ag1 0.0000 0.3484 0.7500
Ag2 0.3333 0.6667 0.0000
```

***

# 2
Calculated X-ray diffraction stick pattern
Compound: Li2TlAg
Radiation: λ = 1.5418 Å (Cu Kα)
Structure: a DFT-relaxed cell (PBE, Alexandria)

Main lines, by angle (10 to 80 degrees two-theta):
(0 0 1), 14.64°, rel. 100; (0 1 1), 27.53°, rel. 74; (1 0 1), 30.83°, rel. 55; (1 1 0), 35.87°, rel. 63; (0 1 2), 37.88°, rel. 51; (1 1 1), 38.93°, rel. 37; (1 0 2), 40.43°, rel. 43; (1 2 1), 57.62°, rel. 19; (1 1 3), 58.80°, rel. 23; (1 2 2), 64.01°, rel. 22

Cell and atoms:
```
data_Li2TlAg
_space_group_name_H-M_alt 'P m m 2'
_space_group_IT_number 25
_space_group_name_Hall 'P 2 -2'
_cell_length_a 3.305
_cell_length_b 3.836
_cell_length_c 6.050
_cell_angle_alpha 90.00
_cell_angle_beta 90.00
_cell_angle_gamma 90.00
loop_
_atom_site_label
_atom_site_fract_x
_atom_site_fract_y
_atom_site_fract_z
Li1 0.000 0.000 0.000
Li2 0.500 0.500 0.265
Tl1 0.000 0.000 0.506
Ag1 0.500 0.500 0.798
```

***

# 3
Calculated X-ray diffraction stick pattern
Compound: Li3Tl2Ag8
Radiation: λ = 1.5418 Å (Cu Kα)
Structure: a DFT-relaxed cell (PBE, Alexandria)

Main lines, by angle (10 to 80 degrees two-theta):
(1 0 1), 18.81°, rel. 61; (1 0 4), 21.96°, rel. 54; (0 1 8), 29.97°, rel. 31; (1 1 0), 32.48°, rel. 30; (1 1 3), 33.68°, rel. 89; (0 1 11), 37.47°, rel. 82; (2 0 2), 38.15°, rel. 100; (0 2 7), 43.20°, rel. 59; (1 2 11), 61.26°, rel. 38; (2 2 0), 68.01°, rel. 34

Cell and atoms:
```
data_Li3Tl2Ag8
_space_group_name_H-M_alt 'R -3 m'
_space_group_IT_number 166
_space_group_name_Hall '-R 3 2"'
_cell_length_a 5.5136
_cell_length_b 5.5136
_cell_length_c 30.5399
_cell_angle_alpha 90.00
_cell_angle_beta 90.00
_cell_angle_gamma 120.00
loop_
_atom_site_label
_atom_site_fract_x
_atom_site_fract_y
_atom_site_fract_z
Li1 0.0000 0.0000 0.0000
Li2 0.0000 0.0000 0.1836
Tl1 0.0000 0.0000 0.3598
Ag1 0.0000 0.0000 0.2673
Ag2 0.0014 0.5007 0.7764
```

***

# 4
Calculated X-ray diffraction stick pattern
Compound: Li8Tl3Ag
Radiation: λ = 1.5418 Å (Cu Kα)
Structure: a DFT-relaxed cell (PBE, Alexandria)

Main lines, by angle (10 to 80 degrees two-theta):
(2 0 0), 20.96°, rel. 100; (0 0 2), 21.93°, rel. 43; (0 2 1), 31.68°, rel. 40; (2 2 -1), 34.82°, rel. 26; (4 0 -2), 36.13°, rel. 15; (2 0 2), 37.90°, rel. 26; (2 2 1), 41.53°, rel. 39; (4 0 0), 42.67°, rel. 16; (4 2 -1), 48.80°, rel. 24; (2 2 3), 57.89°, rel. 14

Cell and atoms:
```
data_Li8Tl3Ag
_space_group_name_H-M_alt 'C 1 2/m 1'
_space_group_IT_number 12
_space_group_name_Hall '-C 2y'
_cell_length_a 9.944
_cell_length_b 6.026
_cell_length_c 9.504
_cell_angle_alpha 90.00
_cell_angle_beta 121.48
_cell_angle_gamma 90.00
loop_
_atom_site_label
_atom_site_fract_x
_atom_site_fract_y
_atom_site_fract_z
Li1 0.155 0.000 0.322
Li2 0.155 0.250 0.810
Li3 0.166 0.500 0.321
Tl1 0.000 0.250 0.000
Tl2 0.000 0.500 0.500
Ag1 0.000 0.000 0.500
```

***

# 5
Calculated X-ray diffraction stick pattern
Compound: LiTm5Ag6
Radiation: λ = 1.5418 Å (Cu Kα)
Structure: a DFT-relaxed cell (PBE, Alexandria)

Main lines, by angle (10 to 80 degrees two-theta):
(1 3 1), 35.79°, rel. 100; (0 6 0), 35.89°, rel. 50; (4 0 0), 51.36°, rel. 9; (2 6 -2), 51.66°, rel. 17; (4 6 0), 64.22°, rel. 13; (1 3 -3), 64.39°, rel. 22; (5 3 -3), 64.47°, rel. 17; (2 6 2), 75.77°, rel. 5; (6 6 -2), 75.90°, rel. 5; (4 0 -4), 76.08°, rel. 5

Cell and atoms:
```
data_LiTm5Ag6
_space_group_name_H-M_alt 'C 1 2/m 1'
_space_group_IT_number 12
_space_group_name_Hall '-C 2y'
_cell_length_a 8.690
_cell_length_b 15.019
_cell_length_c 5.003
_cell_angle_alpha 90.00
_cell_angle_beta 125.03
_cell_angle_gamma 90.00
loop_
_atom_site_label
_atom_site_fract_x
_atom_site_fract_y
_atom_site_fract_z
Li1 0.000 0.000 0.000
Tm1 0.000 0.167 0.500
Tm2 0.000 0.333 0.000
Tm3 0.000 0.500 0.500
Ag1 0.244 0.000 0.744
Ag2 0.247 0.165 0.247
```

***

# 6
Calculated X-ray diffraction stick pattern
Compound: LiTm3Ag4
Radiation: λ = 1.5418 Å (Cu Kα)
Structure: a DFT-relaxed cell (PBE, Alexandria)

Main lines, by angle (10 to 80 degrees two-theta):
(0 0 3), 10.88°, rel. 6; (1 0 1), 20.91°, rel. 6; (0 0 6), 21.85°, rel. 7; (0 1 5), 27.60°, rel. 4; (1 1 0), 36.06°, rel. 100; (1 1 6), 42.56°, rel. 4; (1 1 9), 49.70°, rel. 2; (2 0 8), 51.91°, rel. 17; (3 0 0), 64.83°, rel. 35; (2 2 0), 76.49°, rel. 11

Cell and atoms:
```
data_LiTm3Ag4
_space_group_name_H-M_alt 'R -3 m'
_space_group_IT_number 166
_space_group_name_Hall '-R 3 2"'
_cell_length_a 4.9825
_cell_length_b 4.9825
_cell_length_c 24.3979
_cell_angle_alpha 90.00
_cell_angle_beta 90.00
_cell_angle_gamma 120.00
loop_
_atom_site_label
_atom_site_fract_x
_atom_site_fract_y
_atom_site_fract_z
Li1 0.0000 0.0000 0.0000
Tm1 0.0000 0.0000 0.2528
Tm2 0.0000 0.0000 0.5000
Ag1 0.0000 0.0000 0.1241
Ag2 0.0000 0.0000 0.3756
```

***

# 7
Calculated X-ray diffraction stick pattern
Compound: Li3TmAg2
Radiation: λ = 1.5418 Å (Cu Kα)
Structure: a DFT-relaxed cell (PBE, Alexandria)

Main lines, by angle (10 to 80 degrees two-theta):
(0 0 1), 11.52°, rel. 100; (1 1 1), 27.56°, rel. 43; (3 1 -1), 28.58°, rel. 15; (4 0 -3), 30.86°, rel. 25; (3 1 0), 31.13°, rel. 22; (1 1 2), 35.72°, rel. 20; (4 0 1), 37.46°, rel. 25; (5 1 -2), 38.10°, rel. 39; (1 1 -3), 38.59°, rel. 34; (0 2 0), 44.32°, rel. 16

Cell and atoms:
```
data_Li3TmAg2
_space_group_name_H-M_alt 'C 1 2/m 1'
_space_group_IT_number 12
_space_group_name_Hall '-C 2y'
_cell_length_a 14.532
_cell_length_b 4.088
_cell_length_c 9.213
_cell_angle_alpha 90.00
_cell_angle_beta 123.53
_cell_angle_gamma 90.00
loop_
_atom_site_label
_atom_site_fract_x
_atom_site_fract_y
_atom_site_fract_z
Li1 0.069 0.000 0.416
Li2 0.074 0.500 0.686
Li3 0.236 0.500 0.586
Tm1 0.123 0.000 0.997
Ag1 0.076 0.500 0.204
Ag2 0.209 0.000 0.763
```

***

# 8
Calculated X-ray diffraction stick pattern
Compound: Li2Tm2Ag3
Radiation: λ = 1.5418 Å (Cu Kα)
Structure: a DFT-relaxed cell (PBE, Alexandria)

Main lines, by angle (10 to 80 degrees two-theta):
(0 4 0), 15.02°, rel. 22; (1 5 0), 31.40°, rel. 42; (0 6 1), 34.57°, rel. 84; (1 1 1), 36.38°, rel. 100; (1 7 0), 36.65°, rel. 68; (0 8 1), 40.21°, rel. 17; (2 0 0), 51.11°, rel. 15; (2 6 1), 63.18°, rel. 28; (1 13 1), 63.48°, rel. 29; (1 7 2), 66.21°, rel. 23

Cell and atoms:
```
data_Li2Tm2Ag3
_space_group_name_H-M_alt 'C m m m'
_space_group_IT_number 65
_space_group_name_Hall '-C 2 2'
_cell_length_a 3.574
_cell_length_b 23.597
_cell_length_c 3.452
_cell_angle_alpha 90.00
_cell_angle_beta 90.00
_cell_angle_gamma 90.00
loop_
_atom_site_label
_atom_site_fract_x
_atom_site_fract_y
_atom_site_fract_z
Li1 0.000 0.209 0.000
Tm1 0.000 0.078 0.000
Ag1 0.000 0.344 0.500
Ag2 0.000 0.500 0.500
```

***

# 9
Calculated X-ray diffraction stick pattern
Compound: Li2TmAg2
Radiation: λ = 1.5418 Å (Cu Kα)
Structure: a DFT-relaxed cell (PBE, Alexandria)

Main lines, by angle (10 to 80 degrees two-theta):
(2 0 0), 11.37°, rel. 100; (4 0 -1), 30.57°, rel. 44; (3 1 0), 30.79°, rel. 43; (1 1 -1), 36.07°, rel. 58; (1 1 1), 37.93°, rel. 23; (4 0 1), 38.51°, rel. 44; (5 1 0), 38.69°, rel. 43; (9 1 -1), 60.38°, rel. 19; (3 1 2), 66.35°, rel. 17; (4 2 1), 66.72°, rel. 17

Cell and atoms:
```
data_Li2TmAg2
_space_group_name_H-M_alt 'C 1 2/m 1'
_space_group_IT_number 12
_space_group_name_Hall '-C 2y'
_cell_length_a 15.957
_cell_length_b 3.504
_cell_length_c 3.540
_cell_angle_alpha 90.00
_cell_angle_beta 102.75
_cell_angle_gamma 90.00
loop_
_atom_site_label
_atom_site_fract_x
_atom_site_fract_y
_atom_site_fract_z
Li1 0.204 0.000 0.204
Tm1 0.000 0.000 0.000
Ag1 0.113 0.500 0.613
```

***

# 10
Calculated X-ray diffraction stick pattern
Compound: LiAgW
Radiation: λ = 1.5418 Å (Cu Kα)
Structure: a DFT-relaxed cell (PBE, Alexandria)

Main lines, by angle (10 to 80 degrees two-theta):
(0 2 0), 13.17°, rel. 100; (1 1 0), 19.91°, rel. 16; (1 1 1), 34.55°, rel. 30; (2 0 0), 38.07°, rel. 29; (1 3 1), 39.56°, rel. 96; (0 6 0), 40.24°, rel. 19; (1 5 1), 48.26°, rel. 18; (2 6 0), 56.60°, rel. 13; (3 3 1), 69.79°, rel. 18; (0 6 2), 72.71°, rel. 15

Cell and atoms:
```
data_LiAgW
_space_group_name_H-M_alt 'C m c m'
_space_group_IT_number 63
_space_group_name_Hall '-C 2c 2'
_cell_length_a 4.727
_cell_length_b 13.446
_cell_length_c 3.192
_cell_angle_alpha 90.00
_cell_angle_beta 90.00
_cell_angle_gamma 90.00
loop_
_atom_site_label
_atom_site_fract_x
_atom_site_fract_y
_atom_site_fract_z
Li1 0.000 0.249 0.250
Ag1 0.000 0.405 0.750
W1 0.000 0.068 0.750
```

***

# 11
Calculated X-ray diffraction stick pattern
Compound: Li2AgW
Radiation: λ = 1.5418 Å (Cu Kα)
Structure: a DFT-relaxed cell (PBE, Alexandria)

Main lines, by angle (10 to 80 degrees two-theta):
(0 1 0), 18.09°, rel. 100; (0 0 2), 35.72°, rel. 21; (0 2 0), 36.65°, rel. 20; (1 0 1), 38.58°, rel. 30; (0 1 2), 40.32°, rel. 27; (1 1 1), 42.92°, rel. 51; (0 2 2), 52.11°, rel. 14; (1 2 1), 54.27°, rel. 22; (1 1 3), 69.14°, rel. 12; (1 3 1), 70.31°, rel. 12

Cell and atoms:
```
data_Li2AgW
_space_group_name_H-M_alt 'P m m m'
_space_group_IT_number 47
_space_group_name_Hall '-P 2 2'
_cell_length_a 2.635
_cell_length_b 4.904
_cell_length_c 5.027
_cell_angle_alpha 90.00
_cell_angle_beta 90.00
_cell_angle_gamma 90.00
loop_
_atom_site_label
_atom_site_fract_x
_atom_site_fract_y
_atom_site_fract_z
Li1 0.000 0.000 0.000
Li2 0.500 0.000 0.500
Ag1 0.000 0.500 0.500
W1 0.500 0.500 0.000
```

***

# 12
Calculated X-ray diffraction stick pattern
Compound: LiAgW2
Radiation: λ = 1.5418 Å (Cu Kα)
Structure: a DFT-relaxed cell (PBE, Alexandria)

Main lines, by angle (10 to 80 degrees two-theta):
(0 0 2), 19.01°, rel. 10; (0 0 3), 28.68°, rel. 9; (1 1 1), 36.36°, rel. 20; (0 0 4), 38.57°, rel. 27; (1 1 2), 40.14°, rel. 100; (0 2 0), 40.36°, rel. 25; (1 1 3), 45.87°, rel. 12; (0 2 4), 57.05°, rel. 18; (1 1 6), 70.83°, rel. 21; (1 3 2), 73.23°, rel. 17

Cell and atoms:
```
data_LiAgW2
_space_group_name_H-M_alt 'C m m 2'
_space_group_IT_number 35
_space_group_name_Hall 'C 2 -2'
_cell_length_a 3.127
_cell_length_b 4.470
_cell_length_c 9.338
_cell_angle_alpha 90.00
_cell_angle_beta 90.00
_cell_angle_gamma 90.00
loop_
_atom_site_label
_atom_site_fract_x
_atom_site_fract_y
_atom_site_fract_z
Li1 0.000 0.000 0.000
Ag1 0.000 0.500 0.242
W1 0.000 0.000 0.507
W2 0.000 0.500 0.745
```